# 1
Starting from a cell relaxed with GGA-PBE, the powder XRD pattern of Sc2AlAu was computed for CuKα.
Peak positions follow from Bragg's law for the DFT cell and can differ from measured ones.

Cell and atoms:
Unit cell a=3.4403 b=4.4009 c=5.6322 alpha=90.00 beta=107.65 gamma=90.00
Atoms (fractional coordinates):
Sc (0.0000, 0.0000, 0.0000)
Sc (0.3089, 0.5000, 0.6195)
Al (0.5808, 0.5000, 0.1622)
Au (0.7300, 0.0000, 0.4618)

Most intense lines, 15° ≤ 2θ ≤ 90°, sorted by position:
hkl, 2theta, I (rel.)
0 0 1, 16.52, 73.5
0 1 0, 20.18, 47.3
0 1 1, 26.19, 34.2
1 0 -1, 27.22, 46.2
0 0 2, 33.39, 22.0
1 1 -1, 34.12, 100.0
1 0 1, 36.22, 33.6
0 1 2, 39.32, 48.7
0 2 0, 41.02, 27.2
1 1 1, 41.81, 62.3

=====

# 2
Starting from a cell relaxed with GGA-PBE, the powder XRD pattern of Ca2Co2Mo was computed for CuKα.
Peak positions follow from Bragg's law for the DFT cell and can differ from measured ones.

Cell and atoms:
Unit cell a=6.2557 b=6.2557 c=4.8127 alpha=90.00 beta=90.00 gamma=90.00
Atoms (fractional coordinates):
Ca (0.1825, 0.3175, 0.0000)
Ca (0.3175, 0.8175, 0.0000)
Ca (0.6825, 0.1825, 0.0000)
Ca (0.8175, 0.6825, 0.0000)
Co (0.1264, 0.6264, 0.5000)
Co (0.3736, 0.1264, 0.5000)
Co (0.6264, 0.8736, 0.5000)
Co (0.8736, 0.3736, 0.5000)
Mo (0.0000, 0.0000, 0.5000)
Mo (0.5000, 0.5000, 0.5000)

Most intense lines, 15° ≤ 2θ ≤ 90°, sorted by position:
hkl, 2theta, I (rel.)
0 0 1, 18.44, 65.1
2 0 1, 34.19, 68.1
2 1 1, 37.17, 100.0
0 0 2, 37.37, 54.1
2 2 0, 40.80, 16.1
3 1 0, 45.87, 47.1
3 1 1, 49.84, 32.2
3 1 2, 60.59, 39.0
2 1 3, 67.28, 15.1
5 1 1, 80.85, 15.3